Record 1
Structure and simulated powder X-ray diffraction pattern of MgB2O7 (the PBE geometry in the Materials Project; copper Kα).
Kinematic intensities with the Lorentz-polarization factor, no thermal factor.

Unit cell a=7.3090 b=7.3090 c=8.7202 alpha=90.00 beta=90.00 gamma=90.00
Positions (direct):
Mg 0.0000 0.0000 0.0000
Mg 0.0000 0.5000 0.5000
Mg 0.5000 0.0000 0.5000
Mg 0.5000 0.5000 0.0000
B 0.1172 0.6169 0.1423
B 0.1169 0.8828 0.6423
B 0.3831 0.6172 0.6423
B 0.3828 0.8831 0.1423
B 0.6172 0.1169 0.8577
B 0.6169 0.3828 0.3577
B 0.8831 0.1172 0.3577
B 0.8828 0.3831 0.8577
O 0.0126 0.7841 0.5289
O 0.0150 0.2775 0.9423
O 0.0171 0.9528 0.7693
O 0.0472 0.5171 0.2693
O 0.2159 0.5126 0.0289
O 0.2225 0.0150 0.5577
O 0.2500 0.7500 0.2113
O 0.2500 0.7500 0.7113
O 0.2775 0.4850 0.5577
O 0.2841 0.9874 0.0289
O 0.4528 0.9829 0.2693
O 0.4829 0.5472 0.7693
O 0.4850 0.2225 0.9423
O 0.4874 0.7159 0.5289
O 0.5126 0.2841 0.4711
O 0.5150 0.7775 0.0577
O 0.5171 0.4528 0.2307
O 0.5472 0.0171 0.7307
O 0.7159 0.0126 0.9711
O 0.7225 0.5150 0.4423
O 0.7500 0.2500 0.2887
O 0.7500 0.2500 0.7887
O 0.7775 0.9850 0.4423
O 0.7841 0.4874 0.9711
O 0.9528 0.4829 0.7307
O 0.9829 0.0472 0.2307
O 0.9850 0.7225 0.0577
O 0.9874 0.2159 0.4711

Peak list (12 most intense, 2θ from 10° to 80°, sorted by position)
hkl  two_theta  intensity
1 1 0  17.16  66
0 0 2  20.37  28
1 0 2  23.76  100
2 0 0  24.36  70
1 2 1  29.18  63
1 3 1  40.37  74
2 2 2  40.58  70
0 0 4  41.42  25
4 0 0  49.91  43
2 1 4  50.31  28
3 3 1  54.28  21
4 0 4  66.80  23


Record 2
Structure and simulated powder X-ray diffraction pattern of MgB3O13 (the PBE geometry in the Materials Project; copper Kα).
Kinematic intensities with the Lorentz-polarization factor, no thermal factor.

Unit cell a=5.6969 b=9.0933 c=10.1492 alpha=109.12 beta=102.87 gamma=93.42
Positions (direct):
Mg 0.1286 0.3809 0.4036
Mg 0.8714 0.6191 0.5964
B 0.3267 0.1769 0.5889
B 0.4053 0.4772 0.6900
B 0.4497 0.3088 0.8445
B 0.5503 0.6912 0.1555
B 0.5947 0.5228 0.3100
B 0.6733 0.8231 0.4111
O 0.0207 0.5481 0.0614
O 0.0446 0.1250 0.2964
O 0.1325 0.1197 0.0137
O 0.1530 0.6235 0.4610
O 0.1634 0.0194 0.3206
O 0.2005 0.5648 0.6667
O 0.2207 0.9995 0.0115
O 0.2486 0.0269 0.4806
O 0.3317 0.3145 0.5628
O 0.3850 0.4409 0.3232
O 0.3956 0.1679 0.7238
O 0.4318 0.4504 0.8267
O 0.4806 0.7092 0.0248
O 0.5194 0.2908 0.9752
O 0.5682 0.5496 0.1733
O 0.6044 0.8321 0.2762
O 0.6150 0.5591 0.6768
O 0.6683 0.6855 0.4372
O 0.7514 0.9731 0.5194
O 0.7793 0.0005 0.9885
O 0.7995 0.4352 0.3333
O 0.8366 0.9806 0.6794
O 0.8470 0.3765 0.5390
O 0.8675 0.8803 0.9863
O 0.9554 0.8750 0.7036
O 0.9793 0.4519 0.9386

Peak list (12 most intense, 2θ from 10° to 80°, sorted by position)
hkl  two_theta  intensity
0 1 0  10.40  44
1 -1 0  17.91  80
1 1 -1  18.99  100
0 2 0  20.89  40
1 -2 0  24.56  24
0 0 3  28.90  24
1 -2 2  29.23  20
2 0 -1  31.49  49
2 -1 0  32.79  21
2 1 -2  34.39  24
1 3 -2  34.64  20
0 3 2  42.84  32


Record 3
Structure and simulated powder X-ray diffraction pattern of MgBPO6 (the PBE geometry in the Materials Project; copper Kα).
Kinematic intensities with the Lorentz-polarization factor, no thermal factor.

Unit cell a=7.5931 b=7.5931 c=12.6671 alpha=90.00 beta=90.00 gamma=120.00
Positions (direct):
Mg 0.0000 0.7636 0.1667
Mg 0.0000 0.8751 0.6667
Mg 0.1249 0.1249 0.0000
Mg 0.2364 0.2364 0.5000
Mg 0.7636 0.0000 0.8333
Mg 0.8751 0.0000 0.3333
B 0.2483 0.6833 0.7890
B 0.3167 0.5650 0.1223
B 0.4350 0.7517 0.4557
B 0.5650 0.3167 0.8777
B 0.6833 0.2483 0.2110
B 0.7517 0.4350 0.5443
P 0.0684 0.7460 0.4280
P 0.2540 0.3224 0.7614
P 0.3224 0.2540 0.2386
P 0.6776 0.9316 0.0947
P 0.7460 0.0684 0.5720
P 0.9316 0.6776 0.9053
O 0.0184 0.8073 0.0048
O 0.0739 0.5996 0.8632
O 0.0940 0.2047 0.8478
O 0.1107 0.9060 0.5144
O 0.1673 0.4124 0.0557
O 0.1927 0.2111 0.3381
O 0.1940 0.6397 0.1698
O 0.2047 0.0940 0.1522
O 0.2111 0.1927 0.6619
O 0.2452 0.8327 0.7224
O 0.2478 0.5172 0.7284
O 0.2694 0.7522 0.3951
O 0.3603 0.5544 0.5031
O 0.4004 0.4743 0.1965
O 0.4124 0.1673 0.9443
O 0.4456 0.8060 0.8365
O 0.4743 0.4004 0.8035
O 0.4828 0.7306 0.0617
O 0.5172 0.2478 0.2716
O 0.5257 0.9261 0.5299
O 0.5544 0.3603 0.4969
O 0.5876 0.7548 0.3890
O 0.5996 0.0739 0.1368
O 0.6397 0.1940 0.8302
O 0.7306 0.4828 0.9383
O 0.7522 0.2694 0.6049
O 0.7548 0.5876 0.6110
O 0.7889 0.9816 0.6715
O 0.7953 0.8893 0.1811
O 0.8060 0.4456 0.1635
O 0.8073 0.0184 0.9952
O 0.8327 0.2452 0.2776
O 0.8893 0.7953 0.8189
O 0.9060 0.1107 0.4856
O 0.9261 0.5257 0.4701
O 0.9816 0.7889 0.3285

Peak list (12 most intense, 2θ from 10° to 80°, sorted by position)
hkl  two_theta  intensity
1 0 0  13.47  48
1 0 2  19.46  33
1 1 0  23.43  100
1 1 1  24.48  33
0 1 3  25.06  75
1 1 2  27.39  27
0 2 2  30.64  59
0 1 4  31.35  60
2 1 0  36.14  25
2 1 1  36.85  29
0 1 6  45.14  22
2 2 1  48.49  22


Record 4
Structure and simulated powder X-ray diffraction pattern of RbMg14BO15 (the PBE geometry in the Materials Project; copper Kα).
Kinematic intensities with the Lorentz-polarization factor, no thermal factor.

Unit cell a=4.3475 b=8.8805 c=8.5693 alpha=90.00 beta=90.00 gamma=90.00
Positions (direct):
Rb 0.0000 0.0000 0.0000
Mg 0.0000 0.0000 0.5634
Mg 0.0000 0.2302 0.3225
Mg 0.0000 0.2842 0.8077
Mg 0.0000 0.5000 0.0755
Mg 0.0000 0.7158 0.8077
Mg 0.0000 0.7698 0.3225
Mg 0.5000 0.0000 0.3222
Mg 0.5000 0.0000 0.8059
Mg 0.5000 0.2537 0.0830
Mg 0.5000 0.2541 0.5712
Mg 0.5000 0.5000 0.3291
Mg 0.5000 0.5000 0.8230
Mg 0.5000 0.7463 0.0830
Mg 0.5000 0.7459 0.5712
B 0.0000 0.5000 0.5174
O 0.0000 0.0000 0.3341
O 0.0000 0.2331 0.5767
O 0.0000 0.2761 0.0863
O 0.0000 0.5000 0.3602
O 0.0000 0.5000 0.8438
O 0.0000 0.7239 0.0863
O 0.0000 0.7669 0.5767
O 0.5000 0.0000 0.0916
O 0.5000 0.0000 0.5741
O 0.5000 0.2447 0.8255
O 0.5000 0.2549 0.3297
O 0.5000 0.5000 0.0858
O 0.5000 0.5000 0.5729
O 0.5000 0.7451 0.3297
O 0.5000 0.7553 0.8255

Peak list (12 most intense, 2θ from 10° to 80°, sorted by position)
hkl  two_theta  intensity
0 0 1  10.32  18
1 1 2  30.99  17
0 1 3  32.94  14
1 2 2  35.70  54
1 1 3  39.07  18
0 4 0  40.64  97
2 0 0  41.54  100
0 0 4  42.18  62
2 4 0  59.52  54
0 4 4  60.01  33
2 0 4  60.70  36
2 4 4  75.62  30